The following is a theoretical X-ray diffraction stick pattern of NaAc2CoO4. It was derived from a structure optimized by DFT (GGA+U), using Cu Kα.

Atomic structure:
```
NaAc2CoO4
1.0
-2.931 2.931 3.461
2.931 -2.931 3.461
2.931 2.931 -3.461
Na Ac Co O
1 2 1 4
Cartesian
0.000 0.000 0.000
2.931 0.000 1.730
0.000 2.931 1.730
0.000 0.000 3.461
1.552 1.552 0.000
1.379 -1.379 3.461
-1.379 1.379 3.461
1.379 1.379 3.461
```

Top 10 peaks for 5 to 70 degrees two-theta, by angle:
2θ 21.43, rel. 675; 2θ 25.74, rel. 138; 2θ 30.49, rel. 492; 2θ 33.74, rel. 1000; 2θ 40.32, rel. 387; 2θ 43.67, rel. 305; 2θ 49.14, rel. 164; 2θ 51.38, rel. 103; 2θ 56.29, rel. 466; 2θ 62.31, rel. 141